Starting from a cell relaxed with PBE, the PXRD pattern of Tb3Cd2BRu3 was simulated for Cu Kα, 1.54184 Å.
Peak positions follow from Bragg's law for the DFT cell and can differ from measured ones.

Top 6 peaks for 2θ from 10° to 80°, in order of rising 2θ:
| 2θ/deg | d [Å] | I (rel.) |
| --- | --- | --- |
| 23.3 | 3.818 | 19 |
| 35.1 | 2.560 | 100 |
| 35.9 | 2.500 | 24 |
| 40.9 | 2.204 | 31 |
| 44.8 | 2.024 | 21 |
| 70.8 | 1.331 | 28 |

Cell and atoms:
a = 7.6365 Å, b = 7.6365 Å, c = 3.4500 Å
α = 90.00°, β = 90.00°, γ = 120.00°
Sites, in units of the cell vectors:
1 Tb 0.0000 0.3412 0.0000
2 Tb 0.3412 0.0000 0.0000
3 Tb 0.6588 0.6588 0.0000
4 Cd 0.3333 0.6667 0.5000
5 Cd 0.6667 0.3333 0.5000
6 B 0.0000 0.0000 0.0000
7 Ru 0.0000 0.7856 0.5000
8 Ru 0.2144 0.2144 0.5000
9 Ru 0.7856 0.0000 0.5000

Starting from a cell relaxed with PBE, the PXRD pattern of BP2 was simulated for Cu Kα, 1.54184 Å.
Peak positions follow from Bragg's law for the DFT cell and can differ from measured ones.

Top 6 peaks for 2θ from 10° to 80°, in order of rising 2θ:
| 2θ/deg | d [Å] | I (rel.) |
| --- | --- | --- |
| 30.9 | 2.891 | 95 |
| 35.8 | 2.509 | 100 |
| 42.6 | 2.123 | 29 |
| 53.0 | 1.728 | 60 |
| 63.0 | 1.476 | 18 |
| 72.0 | 1.312 | 23 |

Cell and atoms:
a = 3.1258 Å, b = 4.4785 Å, c = 4.4785 Å
α = 40.21°, β = 90.00°, γ = 90.00°
Sites, in units of the cell vectors:
1 B 0.0000 0.0000 0.0000
2 P 0.0000 0.3669 0.3669
3 P 0.5000 0.1520 0.1520

Starting from a cell relaxed with PBE, the PXRD pattern of SnIrSe4 was simulated for Cu Kα, 1.54184 Å.
Peak positions follow from Bragg's law for the DFT cell and can differ from measured ones.

Top 6 peaks for 2θ from 10° to 80°, in order of rising 2θ:
| 2θ/deg | d [Å] | I (rel.) |
| --- | --- | --- |
| 15.3 | 5.780 | 92 |
| 27.6 | 3.234 | 46 |
| 33.9 | 2.647 | 51 |
| 34.1 | 2.628 | 100 |
| 47.0 | 1.933 | 38 |
| 50.6 | 1.804 | 34 |

Cell and atoms:
a = 6.1976 Å, b = 6.1976 Å, c = 6.7604 Å
α = 101.24°, β = 101.24°, γ = 35.34°
Sites, in units of the cell vectors:
1 Sn 0.0000 0.0000 0.0000
2 Ir 0.5000 0.5000 0.5000
3 Se 0.1168 0.1168 0.3942
4 Se 0.3715 0.3715 0.1577
5 Se 0.6285 0.6285 0.8423
6 Se 0.8832 0.8832 0.6058

Starting from a cell relaxed with PBE, the PXRD pattern of La2TbP2Cl2 was simulated for Cu Kα, 1.54184 Å.
Peak positions follow from Bragg's law for the DFT cell and can differ from measured ones.

Top 6 peaks for 2θ from 10° to 80°, in order of rising 2θ:
| 2θ/deg | d [Å] | I (rel.) |
| --- | --- | --- |
| 12.4 | 7.157 | 59 |
| 23.4 | 3.795 | 100 |
| 25.0 | 3.566 | 36 |
| 33.4 | 2.683 | 66 |
| 35.5 | 2.526 | 87 |
| 49.6 | 1.839 | 67 |

Cell and atoms:
a = 8.1008 Å, b = 8.1008 Å, c = 8.1008 Å
α = 141.31°, β = 141.31°, γ = 55.87°
Sites, in units of the cell vectors:
1 La 0.1045 0.1045 0.0000
2 La 0.8955 0.8955 0.0000
3 Tb 0.5000 0.5000 0.0000
4 P 0.0000 0.5000 0.5000
5 P 0.5000 0.0000 0.5000
6 Cl 0.3008 0.3008 0.0000
7 Cl 0.6992 0.6992 0.0000

Starting from a cell relaxed with PBE, the PXRD pattern of Rb2AcBr5 was simulated for Cu Kα, 1.54184 Å.
Peak positions follow from Bragg's law for the DFT cell and can differ from measured ones.

Top 6 peaks for 2θ from 10° to 80°, in order of rising 2θ:
| 2θ/deg | d [Å] | I (rel.) |
| --- | --- | --- |
| 11.7 | 7.554 | 92 |
| 27.9 | 3.201 | 86 |
| 30.0 | 2.982 | 100 |
| 31.2 | 2.867 | 75 |
| 34.0 | 2.640 | 67 |
| 38.0 | 2.365 | 82 |

Cell and atoms:
a = 14.2049 Å, b = 9.7187 Å, c = 8.9199 Å
α = 90.00°, β = 90.00°, γ = 90.00°
Sites, in units of the cell vectors:
1 Rb 0.1725 0.0035 0.0467
2 Rb 0.1725 0.4965 0.0467
3 Rb 0.3275 0.5035 0.5467
4 Rb 0.3275 0.9965 0.5467
5 Rb 0.6725 0.0035 0.4533
6 Rb 0.6725 0.4965 0.4533
7 Rb 0.8275 0.5035 0.9533
8 Rb 0.8275 0.9965 0.9533
9 Ac 0.0058 0.2500 0.5719
10 Ac 0.4942 0.7500 0.0719
11 Ac 0.5058 0.2500 0.9281
12 Ac 0.9942 0.7500 0.4281
13 Br 0.0088 0.2500 0.9200
14 Br 0.0804 0.5423 0.6625
15 Br 0.0804 0.9577 0.6625
16 Br 0.1794 0.2500 0.3677
17 Br 0.2041 0.7500 0.3316
18 Br 0.2959 0.2500 0.8316
19 Br 0.3206 0.7500 0.8677
20 Br 0.4196 0.0423 0.1625
21 Br 0.4196 0.4577 0.1625
22 Br 0.4912 0.7500 0.4200
23 Br 0.5088 0.2500 0.5800
24 Br 0.5804 0.5423 0.8375
25 Br 0.5804 0.9577 0.8375
26 Br 0.6794 0.2500 0.1323
27 Br 0.7041 0.7500 0.1684
28 Br 0.7959 0.2500 0.6684
29 Br 0.8206 0.7500 0.6323
30 Br 0.9196 0.0423 0.3375
31 Br 0.9196 0.4577 0.3375
32 Br 0.9912 0.7500 0.0800

Starting from a cell relaxed with PBE, the PXRD pattern of NaW2Cl was simulated for Cu Kα, 1.54184 Å.
Peak positions follow from Bragg's law for the DFT cell and can differ from measured ones.

Top 6 peaks for 2θ from 10° to 80°, in order of rising 2θ:
| 2θ/deg | d [Å] | I (rel.) |
| --- | --- | --- |
| 12.7 | 6.946 | 100 |
| 25.6 | 3.473 | 42 |
| 35.8 | 2.512 | 52 |
| 40.3 | 2.236 | 38 |
| 48.4 | 1.880 | 22 |
| 52.4 | 1.748 | 23 |

Cell and atoms:
a = 14.1254 Å, b = 14.1254 Å, c = 14.1254 Å
α = 165.31°, β = 165.31°, γ = 20.83°
Sites, in units of the cell vectors:
1 Na 0.0000 0.0000 0.0000
2 Na 0.7500 0.2500 0.5000
3 W 0.1130 0.1250 0.4880
4 W 0.3750 0.8870 0.0120
5 W 0.6370 0.6250 0.5120
6 W 0.8750 0.3630 0.9880
7 Cl 0.2500 0.7500 0.5000
8 Cl 0.5000 0.5000 0.0000

Starting from a cell relaxed with PBE, the PXRD pattern of NaCa4F10 was simulated for Cu Kα, 1.54184 Å.
Peak positions follow from Bragg's law for the DFT cell and can differ from measured ones.

Top 6 peaks for 2θ from 10° to 80°, in order of rising 2θ:
| 2θ/deg | d [Å] | I (rel.) |
| --- | --- | --- |
| 28.0 | 3.188 | 100 |
| 28.2 | 3.168 | 34 |
| 46.5 | 1.954 | 89 |
| 46.7 | 1.945 | 87 |
| 55.2 | 1.663 | 26 |
| 68.0 | 1.378 | 22 |

Cell and atoms:
a = 16.0016 Å, b = 16.0016 Å, c = 16.0016 Å
α = 14.03°, β = 14.03°, γ = 14.03°
Sites, in units of the cell vectors:
1 Na 0.0000 0.0000 0.0000
2 Ca 0.1999 0.1999 0.1999
3 Ca 0.3996 0.3996 0.3996
4 Ca 0.6004 0.6004 0.6004
5 Ca 0.8001 0.8001 0.8001
6 F 0.0511 0.0511 0.0511
7 F 0.1499 0.1499 0.1499
8 F 0.2501 0.2501 0.2501
9 F 0.3502 0.3502 0.3502
10 F 0.4498 0.4498 0.4498
11 F 0.5502 0.5502 0.5502
12 F 0.6498 0.6498 0.6498
13 F 0.7499 0.7499 0.7499
14 F 0.8501 0.8501 0.8501
15 F 0.9489 0.9489 0.9489

Starting from a cell relaxed with PBE, the PXRD pattern of Er5Al was simulated for Cu Kα, 1.54184 Å.
Peak positions follow from Bragg's law for the DFT cell and can differ from measured ones.

Top 6 peaks for 2θ from 10° to 80°, in order of rising 2θ:
| 2θ/deg | d [Å] | I (rel.) |
| --- | --- | --- |
| 32.2 | 2.777 | 100 |
| 36.7 | 2.448 | 17 |
| 37.7 | 2.384 | 33 |
| 53.7 | 1.708 | 23 |
| 63.3 | 1.469 | 14 |
| 64.6 | 1.442 | 14 |

Cell and atoms:
a = 7.7216 Å, b = 7.7216 Å, c = 4.7731 Å
α = 90.00°, β = 90.00°, γ = 144.07°
Sites, in units of the cell vectors:
1 Er 0.0000 0.0000 0.0000
2 Er 0.1598 0.8402 0.5000
3 Er 0.3344 0.6656 0.0000
4 Er 0.6656 0.3344 0.0000
5 Er 0.8402 0.1598 0.5000
6 Al 0.5000 0.5000 0.5000

Starting from a cell relaxed with PBE, the PXRD pattern of Tb2Dy5ErIn was simulated for Cu Kα, 1.54184 Å.
Peak positions follow from Bragg's law for the DFT cell and can differ from measured ones.

Top 6 peaks for 2θ from 10° to 80°, in order of rising 2θ:
| 2θ/deg | d [Å] | I (rel.) |
| --- | --- | --- |
| 27.9 | 3.193 | 14 |
| 30.9 | 2.891 | 30 |
| 32.7 | 2.738 | 100 |
| 33.6 | 2.671 | 32 |
| 34.3 | 2.617 | 16 |
| 59.5 | 1.555 | 18 |

Cell and atoms:
a = 10.4054 Å, b = 10.4054 Å, c = 10.4671 Å
α = 90.00°, β = 90.00°, γ = 150.26°
Sites, in units of the cell vectors:
1 Tb 0.1160 0.8840 0.5408
2 Tb 0.1160 0.8840 0.9592
3 Tb 0.8840 0.1160 0.0408
4 Tb 0.8840 0.1160 0.4592
5 Dy 0.0121 0.9879 0.2500
6 Dy 0.2889 0.7111 0.5513
7 Dy 0.2889 0.7111 0.9487
8 Dy 0.3822 0.6178 0.2500
9 Dy 0.5000 0.5000 0.0000
10 Dy 0.5000 0.5000 0.5000
11 Dy 0.6178 0.3822 0.7500
12 Dy 0.7111 0.2889 0.0513
13 Dy 0.7111 0.2889 0.4487
14 Dy 0.9879 0.0121 0.7500
15 Er 0.2071 0.7929 0.2500
16 Er 0.7929 0.2071 0.7500
17 In 0.4041 0.5959 0.7500
18 In 0.5959 0.4041 0.2500

Starting from a cell relaxed with PBE, the PXRD pattern of Dy4ErAg5 was simulated for Cu Kα, 1.54184 Å.
Peak positions follow from Bragg's law for the DFT cell and can differ from measured ones.

Top 6 peaks for 2θ from 10° to 80°, in order of rising 2θ:
| 2θ/deg | d [Å] | I (rel.) |
| --- | --- | --- |
| 34.8 | 2.575 | 100 |
| 35.3 | 2.545 | 48 |
| 50.7 | 1.799 | 17 |
| 62.2 | 1.493 | 18 |
| 63.0 | 1.475 | 35 |
| 73.6 | 1.288 | 11 |

Cell and atoms:
a = 3.5986 Å, b = 3.5986 Å, c = 18.4368 Å
α = 90.00°, β = 90.00°, γ = 90.00°
Sites, in units of the cell vectors:
1 Dy 0.0000 0.0000 0.1003
2 Dy 0.0000 0.0000 0.3011
3 Dy 0.0000 0.0000 0.6989
4 Dy 0.0000 0.0000 0.8997
5 Er 0.0000 0.0000 0.5000
6 Ag 0.5000 0.5000 0.0000
7 Ag 0.5000 0.5000 0.2006
8 Ag 0.5000 0.5000 0.4021
9 Ag 0.5000 0.5000 0.5979
10 Ag 0.5000 0.5000 0.7994